The following is a computed powder X-ray diffraction pattern of CuTc3Ge. It was derived from the GGA-PBE geometry in Alexandria, using Cu Kα.
Intensities are scaled so that the largest is 100.

Atomic structure:
abc: 4.482 4.482 4.482
angles: 90.00 90.00 90.00
Space group Pm-3m (No. 221)
Unique sites:
1 Cu 0.000 0.000 0.000 x1
2 Tc 0.000 0.000 0.500 x3
3 Ge 0.500 0.500 0.500 x1

Peak list (10 most intense, 5° ≤ 2θ ≤ 70°, low angle first)
d (Å), 2θ/deg, I/Imax, h k l
4.482, 19.81, 29, 1 0 0
3.170, 28.15, 5, 1 1 0
2.588, 34.66, 96, 1 1 1
2.241, 40.24, 100, 2 0 0
2.005, 45.23, 13, 2 1 0
1.830, 49.83, 2, 2 1 1
1.585, 58.22, 65, 2 2 0
1.494, 62.12, 6, 3 0 0
1.417, 65.90, 1, 3 1 0
1.351, 69.56, 37, 3 1 1

The following is a computed powder X-ray diffraction pattern of Nb4NiSe8. It was derived from the GGA-PBE geometry in Alexandria, using Cu Kα.
Intensities are scaled so that the largest is 100.

Atomic structure:
abc: 6.9884 6.9884 12.5049
angles: 90.00 90.00 120.00
Space group P6_3/mmc (No. 194)
Unique sites:
1 Nb 0.0000 0.0000 0.2500 x2
2 Nb 0.0187 0.5093 0.2500 x6
3 Ni 0.0000 0.0000 0.0000 x2
4 Se 0.1679 0.3358 0.6182 x12
5 Se 0.3333 0.6667 0.1094 x4

Peak list (10 most intense, 5° ≤ 2θ ≤ 70°, low angle first)
d (Å), 2θ/deg, I/Imax, h k l
6.252, 14.17, 27, 0 0 2
2.941, 30.39, 57, 2 0 1
2.724, 32.88, 42, 2 0 2
2.449, 36.70, 51, 2 0 3
2.174, 41.53, 100, 2 0 4
1.747, 52.37, 51, 2 2 0
1.563, 59.10, 10, 0 0 8
1.538, 60.15, 16, 2 0 7
1.422, 65.65, 9, 4 0 3
1.362, 68.95, 21, 4 0 4

Q: Number 2 is which compound?
A: Nb4NiSe8

Q: Which formula does entry 1 have?
A: CuTc3Ge